1.
# YCrHg2
Calculated powder diffractogram, Cu Kα (λ = 1.5418 Å). Input: a structure optimized by DFT (GGA-PBE).
Lines closer than 0.1° are merged.

Main lines, most intense first (2θ from 5° to 70°):
| hkl | 2θ (°) | I (rel.) |
| --- | --- | --- |
| 1 1 2 | 34.65 | 100 |
| 2 0 0 | 40.08 | 34 |
| 1 0 1 | 22.13 | 33 |
| 3 1 2 | 69.33 | 27 |
| 2 0 4 | 58.31 | 22 |
| 0 0 4 | 40.52 | 16 |
| 1 1 6 | 69.94 | 13 |
| 2 2 0 | 57.97 | 11 |
| 2 1 1 | 46.25 | 11 |
| 1 0 3 | 36.25 | 10 |

```
data_YCrHg2
_symmetry_space_group_name_H-M 'I -4 m 2'
_symmetry_Int_Tables_number 119
_symmetry_space_group_name_Hall 'I -4 -2'
_cell_length_a 4.4995
_cell_length_b 4.4995
_cell_length_c 8.9053
_cell_angle_alpha 90.00
_cell_angle_beta 90.00
_cell_angle_gamma 90.00
loop_
_atom_site_label
_atom_site_fract_x
_atom_site_fract_y
_atom_site_fract_z
_atom_site_occupancy
Y1 0.0000 0.0000 0.0000 1
Cr1 0.0000 0.5000 0.2500 1
Hg1 0.0000 0.0000 0.5000 1
Hg2 0.0000 0.5000 0.7500 1
```

***

2.
# Y4Tm3Mg
Calculated powder diffractogram, Cu Kα (λ = 1.5418 Å). Input: a structure optimized by DFT (GGA-PBE).
Lines closer than 0.1° are merged.

Main lines, most intense first (2θ from 5° to 70°):
| hkl | 2θ (°) | I (rel.) |
| --- | --- | --- |
| 1 0 4 | 31.29 | 100 |
| 1 1 0 | 35.78 | 36 |
| 2 1 4 | 61.50 | 28 |
| 1 1 8 | 52.63 | 21 |
| 0 0 8 | 37.28 | 14 |
| 2 0 0 | 51.49 | 13 |
| 2 0 8 | 65.27 | 11 |
| 1 0 12 | 63.52 | 10 |
| 0 0 2 | 9.17 | 8 |
| 1 0 3 | 28.73 | 8 |

```
data_Y4Tm3Mg
_symmetry_space_group_name_H-M 'P 4/m m m'
_symmetry_Int_Tables_number 123
_symmetry_space_group_name_Hall '-P 4 2'
_cell_length_a 3.5496
_cell_length_b 3.5496
_cell_length_c 19.2934
_cell_angle_alpha 90.00
_cell_angle_beta 90.00
_cell_angle_gamma 90.00
loop_
_atom_site_label
_atom_site_fract_x
_atom_site_fract_y
_atom_site_fract_z
_atom_site_occupancy
Y1 0.0000 0.0000 0.1152 1
Y2 0.0000 0.0000 0.3711 1
Tm1 0.5000 0.5000 0.2422 1
Tm2 0.5000 0.5000 0.5000 1
Mg1 0.5000 0.5000 0.0000 1
```

***

3.
# CaZrCd
Calculated powder diffractogram, Cu Kα (λ = 1.5418 Å). Input: a structure optimized by DFT (GGA-PBE).
Lines closer than 0.1° are merged.

Main lines, most intense first (2θ from 5° to 70°):
| hkl | 2θ (°) | I (rel.) |
| --- | --- | --- |
| 1 0 3 | 32.88 | 100 |
| 1 1 0 | 37.58 | 36 |
| 0 0 2 | 12.86 | 34 |
| 2 1 3 | 64.85 | 26 |
| 1 1 6 | 55.47 | 18 |
| 1 0 5 | 42.31 | 15 |
| 0 0 6 | 39.26 | 13 |
| 2 0 0 | 54.19 | 12 |
| 2 0 6 | 68.94 | 9 |
| 1 1 2 | 39.87 | 9 |

```
data_CaZrCd
_symmetry_space_group_name_H-M 'I 4 m m'
_symmetry_Int_Tables_number 107
_symmetry_space_group_name_Hall 'I 4 -2'
_cell_length_a 3.3852
_cell_length_b 3.3852
_cell_length_c 13.7698
_cell_angle_alpha 90.00
_cell_angle_beta 90.00
_cell_angle_gamma 90.00
loop_
_atom_site_label
_atom_site_fract_x
_atom_site_fract_y
_atom_site_fract_z
_atom_site_occupancy
Ca1 0.0000 0.0000 0.0000 1
Zr1 0.0000 0.0000 0.3101 1
Cd1 0.0000 0.0000 0.6709 1
```

***

4.
# Li2La2CeSi2
Calculated powder diffractogram, Cu Kα (λ = 1.5418 Å). Input: a structure optimized by DFT (GGA-PBE).
Lines closer than 0.1° are merged.

Main lines, most intense first (2θ from 5° to 70°):
| hkl | 2θ (°) | I (rel.) |
| --- | --- | --- |
| 1 0 1 | 22.72 | 100 |
| 0 1 8 | 34.84 | 68 |
| 1 0 7 | 32.33 | 60 |
| 1 1 0 | 39.47 | 55 |
| 2 0 8 | 53.65 | 20 |
| 1 2 8 | 68.61 | 19 |
| 1 1 15 | 65.86 | 17 |
| 1 1 9 | 50.11 | 16 |
| 0 2 7 | 51.91 | 16 |
| 0 2 1 | 46.02 | 15 |

```
data_Li2La2CeSi2
_symmetry_space_group_name_H-M 'R -3 m'
_symmetry_Int_Tables_number 166
_symmetry_space_group_name_Hall '-R 3 2"'
_cell_length_a 4.5666
_cell_length_b 4.5666
_cell_length_c 27.1426
_cell_angle_alpha 90.00
_cell_angle_beta 90.00
_cell_angle_gamma 120.00
loop_
_atom_site_label
_atom_site_fract_x
_atom_site_fract_y
_atom_site_fract_z
_atom_site_occupancy
Li1 0.0000 0.0000 0.1097 1
La1 0.0000 0.0000 0.3740 1
Ce1 0.0000 0.0000 0.5000 1
Si1 0.0000 0.0000 0.2300 1
```

***

5.
# Pm2Er6Tm3Pb
Calculated powder diffractogram, Cu Kα (λ = 1.5418 Å). Input: a structure optimized by DFT (GGA-PBE).
Lines closer than 0.1° are merged.

Main lines, most intense first (2θ from 5° to 70°):
| hkl | 2θ (°) | I (rel.) |
| --- | --- | --- |
| 1 3 1 | 31.36 | 100 |
| 2 0 2 | 36.31 | 68 |
| 0 0 4 | 31.16 | 34 |
| 3 3 3 | 62.25 | 28 |
| 1 3 5 | 52.16 | 24 |
| 0 6 0 | 52.41 | 24 |
| 2 0 6 | 62.02 | 14 |
| 4 0 0 | 62.36 | 14 |
| 2 6 2 | 65.43 | 12 |
| 0 0 8 | 64.98 | 4 |

```
data_Pm2Er6Tm3Pb
_symmetry_space_group_name_H-M 'C 1 2/m 1'
_symmetry_Int_Tables_number 12
_symmetry_space_group_name_Hall '-C 2y'
_cell_length_a 6.0455
_cell_length_b 10.4768
_cell_length_c 11.6576
_cell_angle_alpha 90.00
_cell_angle_beta 99.99
_cell_angle_gamma 90.00
loop_
_atom_site_label
_atom_site_fract_x
_atom_site_fract_y
_atom_site_fract_z
_atom_site_occupancy
Pm1 0.0000 0.1661 0.0000 1
Er1 0.2443 0.5000 0.7469 1
Er2 0.2474 0.3359 0.2520 1
Tm1 0.0000 0.0000 0.5000 1
Tm2 0.0000 0.3329 0.5000 1
Pb1 0.0000 0.5000 0.0000 1
```

***

6.
# RuO3F2
Calculated powder diffractogram, Cu Kα (λ = 1.5418 Å). Input: a structure optimized by DFT (GGA-PBE).
Lines closer than 0.1° are merged.

Main lines, most intense first (2θ from 5° to 70°):
| hkl | 2θ (°) | I (rel.) |
| --- | --- | --- |
| 1 1 -1 | 19.85 | 100 |
| 2 0 0 | 18.53 | 67 |
| 1 1 0 | 18.73 | 37 |
| 0 0 2 | 23.30 | 30 |
| 2 0 -2 | 22.75 | 29 |
| 1 1 1 | 24.11 | 28 |
| 2 2 -1 | 37.29 | 18 |
| 3 1 -2 | 32.31 | 17 |
| 3 1 -1 | 30.16 | 15 |
| 4 0 -2 | 34.69 | 15 |

```
data_RuO3F2
_symmetry_space_group_name_H-M 'C 1 2/c 1'
_symmetry_Int_Tables_number 15
_symmetry_space_group_name_Hall '-C 2yc'
_cell_length_a 10.5930
_cell_length_b 5.4514
_cell_length_c 8.4466
_cell_angle_alpha 90.00
_cell_angle_beta 115.32
_cell_angle_gamma 90.00
loop_
_atom_site_label
_atom_site_fract_x
_atom_site_fract_y
_atom_site_fract_z
_atom_site_occupancy
Ru1 0.0000 0.1664 0.2500 1
O1 0.0000 0.1478 0.7500 1
O2 0.1224 0.3251 0.2100 1
F1 0.1208 0.1648 0.4962 1
```